Record 1
The following is a theoretical X-ray diffraction stick pattern of CsPmBe2H8. It was derived from a structure optimized by DFT (PBE), using Cu Kα (λ = 1.5418 Å).
Kinematic intensities with the Lorentz-polarization factor, no thermal factor.

Most intense lines, 2θ = 10–90°, in order of rising 2θ:
19.7°, intensity 58; 24.3°, intensity 100; 26.8°, intensity 98; 35.5°, intensity 46; 41.0°, intensity 31; 45.9°, intensity 39

Structure:
```
CsPmBe2H8
1.0
2.200 1.270 9.027
-2.200 1.270 9.027
0.000 -2.541 9.027
Cs Pm Be H
1 1 2 8
Direct
0.000 0.000 0.000 Cs
0.500 0.500 0.500 Pm
0.230 0.230 0.230 Be
0.770 0.770 0.770 Be
0.039 0.039 0.551 H
0.039 0.551 0.039 H
0.282 0.282 0.282 H
0.449 0.961 0.961 H
0.551 0.039 0.039 H
0.718 0.718 0.718 H
0.961 0.449 0.961 H
0.961 0.961 0.449 H
```



Record 2
The following is a theoretical X-ray diffraction stick pattern of CsBeHg. It was derived from a structure optimized by DFT (PBE), using Cu Kα (λ = 1.5418 Å).
Kinematic intensities with the Lorentz-polarization factor, no thermal factor.

Most intense lines, 2θ = 10–90°, in order of rising 2θ:
21.2°, intensity 72; 26.7°, intensity 56; 26.9°, intensity 54; 28.2°, intensity 80; 29.2°, intensity 100; 33.4°, intensity 42

Structure:
```
CsBeHg
1.0
13.876 0.000 0.000
0.000 4.439 0.000
-2.995 0.000 6.632
Cs Be Hg
4 4 4
Direct
0.210 0.000 0.223 Cs
0.290 0.500 0.777 Cs
0.710 0.500 0.223 Cs
0.790 0.000 0.777 Cs
0.000 0.246 0.500 Be
0.000 0.754 0.500 Be
0.500 0.254 0.500 Be
0.500 0.746 0.500 Be
0.006 0.500 0.804 Hg
0.494 0.000 0.196 Hg
0.506 0.000 0.804 Hg
0.994 0.500 0.196 Hg
```



Record 3
The following is a theoretical X-ray diffraction stick pattern of CsBeHgTe2. It was derived from a structure optimized by DFT (PBE), using Cu Kα (λ = 1.5418 Å).
Kinematic intensities with the Lorentz-polarization factor, no thermal factor.

Most intense lines, 2θ = 10–90°, in order of rising 2θ:
17.3°, intensity 30; 25.2°, intensity 100; 27.5°, intensity 26; 27.6°, intensity 49; 30.2°, intensity 27; 35.1°, intensity 54

Structure:
```
CsBeHgTe2
1.0
8.162 0.000 0.000
0.000 7.206 0.000
-3.206 0.000 6.500
Cs Be Hg Te
2 2 2 4
Direct
0.000 0.239 0.250 Cs
0.000 0.761 0.750 Cs
0.500 0.500 0.000 Be
0.500 0.500 0.500 Be
0.500 0.000 0.250 Hg
0.500 0.000 0.750 Hg
0.281 0.282 0.891 Te
0.281 0.718 0.391 Te
0.719 0.282 0.609 Te
0.719 0.718 0.109 Te
```



Record 4
The following is a theoretical X-ray diffraction stick pattern of CsHoBeS3. It was derived from a structure optimized by DFT (PBE), using Cu Kα (λ = 1.5418 Å).
Kinematic intensities with the Lorentz-polarization factor, no thermal factor.

Most intense lines, 2θ = 10–90°, in order of rising 2θ:
10.1°, intensity 53; 20.2°, intensity 62; 22.4°, intensity 43; 25.0°, intensity 51; 29.7°, intensity 100; 30.6°, intensity 58

Structure:
```
CsHoBeS3
1.0
9.519 0.000 0.000
0.000 3.892 0.000
-3.712 0.000 8.799
Cs Ho Be S
2 2 2 6
Direct
0.243 0.250 0.213 Cs
0.757 0.750 0.787 Cs
0.146 0.250 0.668 Ho
0.854 0.750 0.332 Ho
0.394 0.750 0.925 Be
0.606 0.250 0.075 Be
0.160 0.750 0.476 S
0.162 0.750 0.874 S
0.462 0.250 0.842 S
0.538 0.750 0.158 S
0.838 0.250 0.126 S
0.840 0.250 0.524 S
```



Record 5
The following is a theoretical X-ray diffraction stick pattern of Cs2BeInI6. It was derived from a structure optimized by DFT (PBE), using Cu Kα (λ = 1.5418 Å).
Kinematic intensities with the Lorentz-polarization factor, no thermal factor.

Most intense lines, 2θ = 10–90°, in order of rising 2θ:
26.3°, intensity 100; 30.3°, intensity 28; 30.5°, intensity 55; 43.6°, intensity 40; 51.7°, intensity 28; 54.1°, intensity 20

Structure:
```
Cs2BeInI6
1.0
-4.144 4.144 5.891
4.144 -4.144 5.891
4.144 4.144 -5.891
Cs Be In I
2 1 1 6
Direct
0.250 0.750 0.500 Cs
0.750 0.250 0.500 Cs
0.000 0.000 0.000 Be
0.500 0.500 0.000 In
0.234 0.234 0.468 I
0.234 0.766 0.000 I
0.235 0.235 0.000 I
0.765 0.765 0.000 I
0.766 0.234 0.000 I
0.766 0.766 0.532 I
```



Record 6
The following is a theoretical X-ray diffraction stick pattern of CsNaBe2I6. It was derived from a structure optimized by DFT (PBE), using Cu Kα (λ = 1.5418 Å).
Kinematic intensities with the Lorentz-polarization factor, no thermal factor.

Most intense lines, 2θ = 10–90°, in order of rising 2θ:
16.7°, intensity 49; 22.7°, intensity 36; 23.1°, intensity 46; 23.7°, intensity 100; 23.9°, intensity 36; 33.5°, intensity 36

Structure:
```
CsNaBe2I6
1.0
6.239 -10.550 0.000
6.239 10.550 0.000
-4.805 0.000 7.975
Cs Na Be I
2 2 4 12
Direct
0.175 0.825 0.750 Cs
0.825 0.175 0.250 Cs
0.498 0.502 0.750 Na
0.502 0.498 0.250 Na
0.179 0.424 0.775 Be
0.424 0.179 0.275 Be
0.576 0.821 0.725 Be
0.821 0.576 0.225 Be
0.007 0.564 0.275 I
0.164 0.241 0.596 I
0.241 0.164 0.096 I
0.390 0.606 0.494 I
0.394 0.610 0.006 I
0.436 0.993 0.225 I
0.564 0.007 0.775 I
0.606 0.390 0.994 I
0.610 0.394 0.506 I
0.759 0.836 0.904 I
0.836 0.759 0.404 I
0.993 0.436 0.725 I
```



Record 7
The following is a theoretical X-ray diffraction stick pattern of Cs2BeOsI6. It was derived from a structure optimized by DFT (PBE), using Cu Kα (λ = 1.5418 Å).
Kinematic intensities with the Lorentz-polarization factor, no thermal factor.

Most intense lines, 2θ = 10–90°, in order of rising 2θ:
12.6°, intensity 37; 24.9°, intensity 56; 25.3°, intensity 100; 28.8°, intensity 90; 42.4°, intensity 38; 43.8°, intensity 47

Structure:
```
Cs2BeOsI6
1.0
-4.388 4.388 5.872
4.388 -4.388 5.872
4.388 4.388 -5.872
Cs Be Os I
2 1 1 6
Direct
0.250 0.750 0.500 Cs
0.750 0.250 0.500 Cs
0.000 0.000 0.000 Be
0.500 0.500 0.000 Os
0.189 0.189 0.000 I
0.285 0.285 0.571 I
0.285 0.715 0.000 I
0.715 0.285 0.000 I
0.715 0.715 0.429 I
0.811 0.811 0.000 I
```



Record 8
The following is a theoretical X-ray diffraction stick pattern of Cs2BeSeI6. It was derived from a structure optimized by DFT (PBE), using Cu Kα (λ = 1.5418 Å).
Kinematic intensities with the Lorentz-polarization factor, no thermal factor.

Most intense lines, 2θ = 10–90°, in order of rising 2θ:
24.9°, intensity 21; 25.2°, intensity 100; 28.5°, intensity 58; 40.8°, intensity 20; 42.2°, intensity 24; 48.6°, intensity 27

Structure:
```
Cs2BeSeI6
1.0
-4.423 4.423 5.877
4.423 -4.423 5.877
4.423 4.423 -5.877
Cs Be Se I
2 1 1 6
Direct
0.250 0.750 0.500 Cs
0.750 0.250 0.500 Cs
0.000 0.000 0.000 Be
0.500 0.500 0.000 Se
0.189 0.189 0.000 I
0.274 0.274 0.548 I
0.274 0.726 0.000 I
0.726 0.274 0.000 I
0.726 0.726 0.452 I
0.811 0.811 0.000 I
```



Record 9
The following is a theoretical X-ray diffraction stick pattern of Cs2SrBeI6. It was derived from a structure optimized by DFT (PBE), using Cu Kα (λ = 1.5418 Å).
Kinematic intensities with the Lorentz-polarization factor, no thermal factor.

Most intense lines, 2θ = 10–90°, in order of rising 2θ:
25.7°, intensity 100; 29.8°, intensity 50; 29.9°, intensity 24; 42.6°, intensity 17; 42.7°, intensity 34; 50.4°, intensity 27

Structure:
```
Cs2SrBeI6
1.0
-4.247 4.247 5.978
4.247 -4.247 5.978
4.247 4.247 -5.978
Cs Sr Be I
2 1 1 6
Direct
0.250 0.750 0.500 Cs
0.750 0.250 0.500 Cs
0.000 0.000 0.000 Sr
0.500 0.500 0.000 Be
0.271 0.271 0.541 I
0.271 0.729 0.000 I
0.272 0.272 0.000 I
0.728 0.728 0.000 I
0.729 0.271 0.000 I
0.729 0.729 0.459 I
```



Record 10
The following is a theoretical X-ray diffraction stick pattern of CsLaScBe2. It was derived from a structure optimized by DFT (PBE), using Cu Kα (λ = 1.5418 Å).
Kinematic intensities with the Lorentz-polarization factor, no thermal factor.

Most intense lines, 2θ = 10–90°, in order of rising 2θ:
22.2°, intensity 100; 31.7°, intensity 35; 39.0°, intensity 46; 45.4°, intensity 25; 51.1°, intensity 21; 61.4°, intensity 25

Structure:
```
CsLaScBe2
1.0
5.650 0.000 0.000
0.000 5.650 0.000
0.000 0.000 5.658
Cs La Sc Be
1 1 1 2
Direct
0.000 0.000 0.000 Cs
0.500 0.500 0.500 La
0.500 0.500 0.000 Sc
0.000 0.500 0.500 Be
0.500 0.000 0.500 Be
```



Record 11
The following is a theoretical X-ray diffraction stick pattern of CsLiBeO2. It was derived from a structure optimized by DFT (PBE), using Cu Kα (λ = 1.5418 Å).
Kinematic intensities with the Lorentz-polarization factor, no thermal factor.

Most intense lines, 2θ = 10–90°, in order of rising 2θ:
14.9°, intensity 59; 25.8°, intensity 98; 30.1°, intensity 22; 32.7°, intensity 28; 33.6°, intensity 100; 60.6°, intensity 18

Structure:
```
CsLiBeO2
1.0
2.742 -5.938 0.000
2.742 5.938 0.000
0.000 0.000 4.809
Cs Li Be O
2 2 2 4
Direct
0.250 0.750 0.756 Cs
0.750 0.250 0.244 Cs
0.250 0.250 0.000 Li
0.750 0.750 0.000 Li
0.000 0.000 0.500 Be
0.500 0.500 0.500 Be
0.073 0.927 0.258 O
0.427 0.573 0.258 O
0.573 0.427 0.742 O
0.927 0.073 0.742 O
```



Record 12
The following is a theoretical X-ray diffraction stick pattern of Cs2NaBeP2. It was derived from a structure optimized by DFT (PBE), using Cu Kα (λ = 1.5418 Å).
Kinematic intensities with the Lorentz-polarization factor, no thermal factor.

Most intense lines, 2θ = 10–90°, in order of rising 2θ:
21.7°, intensity 100; 26.6°, intensity 32; 26.9°, intensity 25; 28.8°, intensity 90; 38.2°, intensity 29; 48.3°, intensity 35

Structure:
```
Cs2NaBeP2
1.0
-3.319 8.221 3.353
3.319 -8.221 3.353
3.319 8.221 -3.353
Cs Na Be P
4 2 2 4
Direct
0.162 0.246 0.408 Cs
0.338 0.746 0.084 Cs
0.662 0.254 0.916 Cs
0.838 0.754 0.592 Cs
0.250 0.250 0.000 Na
0.750 0.750 0.000 Na
0.250 0.750 0.500 Be
0.750 0.250 0.500 Be
0.058 0.669 0.727 P
0.442 0.169 0.611 P
0.558 0.831 0.389 P
0.942 0.331 0.273 P
```



Record 13
The following is a theoretical X-ray diffraction stick pattern of CsNaBeSe2. It was derived from a structure optimized by DFT (PBE), using Cu Kα (λ = 1.5418 Å).
Kinematic intensities with the Lorentz-polarization factor, no thermal factor.

Most intense lines, 2θ = 10–90°, in order of rising 2θ:
24.4°, intensity 29; 26.3°, intensity 100; 29.5°, intensity 15; 38.6°, intensity 20; 44.1°, intensity 24; 50.4°, intensity 14

Structure:
```
CsNaBeSe2
1.0
3.643 -7.422 0.000
3.643 7.422 0.000
0.000 0.000 6.061
Cs Na Be Se
2 2 2 4
Direct
0.250 0.750 0.755 Cs
0.750 0.250 0.245 Cs
0.250 0.250 0.000 Na
0.750 0.750 0.000 Na
0.000 0.000 0.500 Be
0.500 0.500 0.500 Be
0.102 0.898 0.278 Se
0.398 0.602 0.278 Se
0.602 0.398 0.722 Se
0.898 0.102 0.722 Se
```



Record 14
The following is a theoretical X-ray diffraction stick pattern of CsBeNb. It was derived from a structure optimized by DFT (PBE), using Cu Kα (λ = 1.5418 Å).
Kinematic intensities with the Lorentz-polarization factor, no thermal factor.

Most intense lines, 2θ = 10–90°, in order of rising 2θ:
20.4°, intensity 40; 25.1°, intensity 100; 25.8°, intensity 24; 34.3°, intensity 22; 37.1°, intensity 24; 37.4°, intensity 31

Structure:
```
CsBeNb
1.0
3.495 0.000 0.000
0.000 3.890 0.000
-1.557 -1.888 13.069
Cs Be Nb
2 2 2
Direct
0.000 0.000 0.000 Cs
0.224 0.698 0.380 Cs
0.390 0.869 0.741 Be
0.844 0.820 0.640 Be
0.333 0.308 0.613 Nb
0.901 0.382 0.767 Nb
```